Li2Mn3NbO8: simulated powder diffraction line list (Cu Kα), based on a GGA+U-relaxed structure.

Largest 10 diffraction maxima, in order of falling intensity, 2θ = 10–90°:
(0 1 1), d 4.932, rel. 100.0
(1 0 -1), d 5.001, rel. 50.0
(2 -2 0), d 2.287, rel. 34.3
(2 2 0), d 2.104, rel. 25.6
(0 0 4), d 2.086, rel. 25.1
(2 -2 4), d 1.546, rel. 18.1
(1 2 -1), d 2.571, rel. 17.5
(2 -1 1), d 2.708, rel. 12.6
(0 1 -1), d 5.031, rel. 11.9
(1 -2 1), d 2.725, rel. 11.2

Structural model:
```
data_Li2Mn3NbO8
_cell_length_a 6.206
_cell_length_b 6.225
_cell_length_c 8.348
_cell_angle_alpha 91.18
_cell_angle_beta 90.68
_cell_angle_gamma 94.75
_symmetry_space_group_name_H-M 'P -1'
_symmetry_Int_Tables_number 2
_symmetry_space_group_name_Hall '-P 1'
loop_
_atom_site_label
_atom_site_type_symbol
_atom_site_fract_x
_atom_site_fract_y
_atom_site_fract_z
Li1 Li 0.240 0.020 0.125
Li2 Li 0.258 0.493 0.376
Mn1 Mn 0.000 0.000 0.500
Mn2 Mn 0.000 0.500 0.000
Mn3 Mn 0.241 0.259 0.749
Mn4 Mn 0.500 0.000 0.500
Mn5 Mn 0.500 0.500 0.000
Nb1 Nb 0.256 0.762 0.757
O1 O 0.011 0.520 0.768
O2 O 0.035 0.994 0.739
O3 O 0.235 0.225 0.518
O4 O 0.247 0.290 0.983
O5 O 0.255 0.755 0.989
O6 O 0.268 0.765 0.513
O7 O 0.463 0.511 0.763
O8 O 0.492 0.992 0.738
```

Ba2Ca2Tl2W3O10: simulated powder diffraction line list (Cu Kα), based on a GGA+U-relaxed structure.

Largest 10 diffraction maxima, in order of falling intensity, 2θ = 10–90°:
(1 1 -1), d 2.905, rel. 100.0
(0 1 -5), d 3.016, rel. 35.9
(1 0 -5), d 2.948, rel. 35.6
(0 1 4), d 3.035, rel. 33.9
(1 0 4), d 2.993, rel. 31.4
(2 0 -1), d 2.019, rel. 25.7
(0 2 -1), d 2.090, rel. 24.8
(0 1 -1), d 4.158, rel. 19.4
(1 0 0), d 4.017, rel. 17.6
(0 0 8), d 2.465, rel. 17.5

Structural model:
```
data_Ba2Ca2Tl2W3O10
_cell_length_a 4.039
_cell_length_b 4.181
_cell_length_c 19.895
_cell_angle_alpha 95.66
_cell_angle_beta 94.95
_cell_angle_gamma 90.15
_symmetry_space_group_name_H-M 'P 1'
_symmetry_Int_Tables_number 1
_symmetry_space_group_name_Hall 'P 1'
loop_
_atom_site_label
_atom_site_type_symbol
_atom_site_fract_x
_atom_site_fract_y
_atom_site_fract_z
Ba1 Ba 0.000 0.000 0.000
Ba2 Ba 0.291 0.306 0.639
Ca1 Ca 0.108 0.120 0.223
Ca2 Ca 0.184 0.206 0.414
Tl1 Tl 0.418 0.468 0.874
Tl2 Tl 0.863 0.916 0.764
W1 W 0.574 0.578 0.141
W2 W 0.646 0.662 0.318
W3 W 0.719 0.743 0.496
O1 O 0.082 0.591 0.163
O2 O 0.146 0.661 0.318
O3 O 0.210 0.733 0.474
O4 O 0.366 0.517 0.755
O5 O 0.535 0.510 0.043
O6 O 0.581 0.085 0.158
O7 O 0.646 0.162 0.318
O8 O 0.711 0.234 0.479
O9 O 0.760 0.774 0.594
O10 O 0.907 0.068 0.882
```

MnOF: simulated powder diffraction line list (Cu Kα), based on a GGA+U-relaxed structure.

Largest 10 diffraction maxima, in order of falling intensity, 2θ = 10–90°:
(1 0 -3), d 3.580, rel. 100.0
(0 1 3), d 2.576, rel. 83.7
(1 0 3), d 3.194, rel. 78.1
(1 1 -6), d 1.802, rel. 31.6
(2 1 -3), d 1.809, rel. 28.0
(1 1 6), d 1.695, rel. 21.8
(0 1 9), d 1.405, rel. 20.3
(2 1 3), d 1.701, rel. 19.1
(0 2 0), d 1.531, rel. 15.7
(3 1 0), d 1.416, rel. 15.6

Structural model:
```
data_MnOF
_cell_length_a 4.820
_cell_length_b 3.062
_cell_length_c 14.326
_cell_angle_alpha 90.00
_cell_angle_beta 96.51
_cell_angle_gamma 90.00
_symmetry_space_group_name_H-M 'P 1 m 1'
_symmetry_Int_Tables_number 6
_symmetry_space_group_name_Hall 'P -2y'
loop_
_atom_site_label
_atom_site_type_symbol
_atom_site_fract_x
_atom_site_fract_y
_atom_site_fract_z
Mn1 Mn 0.000 0.000 0.000
Mn2 Mn 0.038 0.000 0.669
Mn3 Mn 0.478 0.500 0.168
Mn4 Mn 0.518 0.500 0.835
Mn5 Mn 0.564 0.500 0.499
Mn6 Mn 0.961 0.000 0.333
O1 O 0.185 0.500 0.067
O2 O 0.226 0.500 0.734
O3 O 0.711 0.000 0.437
O4 O 0.775 0.500 0.269
O5 O 0.811 0.500 0.935
O6 O 0.848 0.500 0.603
F1 F 0.203 0.500 0.399
F2 F 0.283 0.000 0.236
F3 F 0.326 0.000 0.898
F4 F 0.360 0.000 0.558
F5 F 0.674 0.000 0.107
F6 F 0.709 0.000 0.771
```

LaNd3Mn4O12: simulated powder diffraction line list (Cu Kα), based on a GGA+U-relaxed structure.

Largest 10 diffraction maxima, in order of falling intensity, 2θ = 10–90°:
(1 2 1), d 2.786, rel. 100.0
(2 0 0), d 2.763, rel. 24.7
(3 2 1), d 1.600, rel. 22.6
(0 4 0), d 1.932, rel. 22.5
(0 0 2), d 2.933, rel. 21.1
(2 0 2), d 2.011, rel. 21.0
(1 1 -1), d 3.568, rel. 20.6
(1 1 3), d 1.793, rel. 19.2
(1 0 1), d 4.022, rel. 16.3
(2 4 0), d 1.584, rel. 15.9

Structural model:
```
data_LaNd3Mn4O12
_cell_length_a 5.527
_cell_length_b 7.725
_cell_length_c 5.865
_cell_angle_alpha 90.00
_cell_angle_beta 90.02
_cell_angle_gamma 90.00
_symmetry_space_group_name_H-M 'P 1 m 1'
_symmetry_Int_Tables_number 6
_symmetry_space_group_name_Hall 'P -2y'
loop_
_atom_site_label
_atom_site_type_symbol
_atom_site_fract_x
_atom_site_fract_y
_atom_site_fract_z
La1 La 0.000 0.000 0.000
Nd1 Nd 0.028 0.500 0.126
Nd2 Nd 0.498 0.500 0.624
Nd3 Nd 0.527 0.000 0.493
Mn1 Mn 0.012 0.251 0.560
Mn2 Mn 0.513 0.251 0.058
O1 O 0.108 0.000 0.581
O2 O 0.229 0.300 0.870
O3 O 0.294 0.299 0.369
O4 O 0.424 0.000 0.084
O5 O 0.610 0.500 0.031
O6 O 0.726 0.203 0.745
O7 O 0.794 0.205 0.250
O8 O 0.916 0.500 0.533
```

Li2Fe3CoO8: simulated powder diffraction line list (Cu Kα), based on a GGA+U-relaxed structure.

Largest 10 diffraction maxima, in order of falling intensity, 2θ = 10–90°:
(1 0 1), d 4.848, rel. 100.0
(0 2 4), d 2.088, rel. 67.0
(1 1 3), d 2.522, rel. 28.9
(0 0 3), d 4.743, rel. 23.1
(2 2 0), d 1.489, rel. 20.4
(2 0 8), d 1.464, rel. 19.6
(0 1 5), d 2.491, rel. 15.0
(0 2 1), d 2.537, rel. 14.5
(1 2 5), d 1.608, rel. 12.7
(2 0 2), d 2.424, rel. 11.6

Structural model:
```
data_Li2Fe3CoO8
_cell_length_a 5.9545
_cell_length_b 5.9545
_cell_length_c 14.2278
_cell_angle_alpha 90.00
_cell_angle_beta 90.00
_cell_angle_gamma 120.00
_symmetry_space_group_name_H-M 'R -3 m'
_symmetry_Int_Tables_number 166
_symmetry_space_group_name_Hall '-R 3 2"'
loop_
_atom_site_label
_atom_site_type_symbol
_atom_site_fract_x
_atom_site_fract_y
_atom_site_fract_z
Li1 Li 0.0000 0.0000 0.1252
Fe1 Fe 0.0000 0.5000 0.0000
Co1 Co 0.0000 0.0000 0.5000
O1 O 0.0000 0.0000 0.2621
O2 O 0.0401 0.5201 0.2493
```

CaV2O10: simulated powder diffraction line list (Cu Kα), based on a GGA+U-relaxed structure.

Largest 10 diffraction maxima, in order of falling intensity, 2θ = 10–90°:
(0 1 0), d 6.667, rel. 100.0
(0 2 -1), d 3.615, rel. 95.6
(0 1 -1), d 6.594, rel. 74.4
(2 -1 0), d 3.395, rel. 68.0
(0 0 2), d 4.156, rel. 55.4
(2 0 -1), d 3.092, rel. 44.6
(0 0 1), d 8.312, rel. 42.2
(0 1 -3), d 3.004, rel. 39.0
(-2 1 2), d 2.833, rel. 37.6
(1 0 0), d 5.923, rel. 30.6

Structural model:
```
data_CaV2O10
_cell_length_a 6.857
_cell_length_b 8.001
_cell_length_c 9.092
_cell_angle_alpha 106.95
_cell_angle_beta 97.45
_cell_angle_gamma 115.33
_symmetry_space_group_name_H-M 'P -1'
_symmetry_Int_Tables_number 2
_symmetry_space_group_name_Hall '-P 1'
loop_
_atom_site_label
_atom_site_type_symbol
_atom_site_fract_x
_atom_site_fract_y
_atom_site_fract_z
Ca1 Ca 0.089 0.351 0.149
V1 V 0.067 0.951 0.325
V2 V 0.456 0.102 0.665
O1 O 0.016 0.232 0.861
O2 O 0.103 0.025 0.008
O3 O 0.142 0.171 0.304
O4 O 0.189 0.125 0.617
O5 O 0.212 0.564 0.800
O6 O 0.235 0.537 0.554
O7 O 0.313 0.938 0.424
O8 O 0.321 0.551 0.693
O9 O 0.363 0.654 0.209
O10 O 0.405 0.964 0.772
```